No. 1
For AsPtN2F, a crystal structure in Alexandria, relaxed with GGA-PBE gives the simulated X-ray diffraction stick pattern in this record (Cu Kα X-rays).
Peak positions follow from Bragg's law for the DFT cell and can differ from measured ones.

Cell and atoms:
```
data_AsPtN2F
_cell_length_a 3.8999
_cell_length_b 3.8999
_cell_length_c 3.7689
_cell_angle_alpha 90.00
_cell_angle_beta 90.00
_cell_angle_gamma 90.00
_symmetry_space_group_name_H-M 'P 4/m m m'
_symmetry_Int_Tables_number 123
_symmetry_space_group_name_Hall '-P 4 2'
loop_
_atom_site_label
_atom_site_type_symbol
_atom_site_fract_x
_atom_site_fract_y
_atom_site_fract_z
As1 As 0.0000 0.0000 0.0000
Pt1 Pt 0.5000 0.5000 0.5000
N1 N 0.0000 0.5000 0.0000
F1 F 0.0000 0.0000 0.5000
```

Largest 6 diffraction maxima, most intense first, 2θ = 10–80°:
d [Å]  Position (°2θ)  I/Imax  index
2.710  33.05  1000  1 0 1
2.758  32.47  577  1 1 0
1.583  58.29  410  2 1 1
1.950  46.58  302  2 0 0
2.226  40.53  235  1 1 1
1.556  59.40  213  1 1 2

No. 2
For BaSiH6, a crystal structure in Alexandria, relaxed with GGA-PBE gives the simulated X-ray diffraction stick pattern in this record (Cu Kα X-rays).
Peak positions follow from Bragg's law for the DFT cell and can differ from measured ones.

Cell and atoms:
```
data_BaSiH6
_cell_length_a 4.8298
_cell_length_b 4.8298
_cell_length_c 12.6355
_cell_angle_alpha 90.00
_cell_angle_beta 90.00
_cell_angle_gamma 120.00
_symmetry_space_group_name_H-M 'R -3 m'
_symmetry_Int_Tables_number 166
_symmetry_space_group_name_Hall '-R 3 2"'
loop_
_atom_site_label
_atom_site_type_symbol
_atom_site_fract_x
_atom_site_fract_y
_atom_site_fract_z
Ba1 Ba 0.0000 0.0000 0.0000
Si1 Si 0.0000 0.0000 0.5000
H1 H 0.0184 0.5092 0.0951
```

Largest 6 diffraction maxima, most intense first, 2θ = 10–80°:
d [Å]  Position (°2θ)  I/Imax  index
3.488  25.54  1000  0 1 2
3.971  22.39  508  1 0 1
2.521  35.62  423  1 0 4
2.415  37.23  354  1 1 0
1.985  45.70  208  2 0 2
2.095  43.18  202  1 1 3

No. 3
For Nd6SmY, a crystal structure in Alexandria, relaxed with GGA-PBE gives the simulated X-ray diffraction stick pattern in this record (Cu Kα X-rays).
Peak positions follow from Bragg's law for the DFT cell and can differ from measured ones.

Cell and atoms:
```
data_Nd6SmY
_cell_length_a 7.3512
_cell_length_b 10.3325
_cell_length_c 14.6545
_cell_angle_alpha 90.00
_cell_angle_beta 90.00
_cell_angle_gamma 90.00
_symmetry_space_group_name_H-M 'F m m m'
_symmetry_Int_Tables_number 69
_symmetry_space_group_name_Hall '-F 2 2'
loop_
_atom_site_label
_atom_site_type_symbol
_atom_site_fract_x
_atom_site_fract_y
_atom_site_fract_z
Nd1 Nd 0.0000 0.0000 0.2497
Nd2 Nd 0.2500 0.2500 0.1241
Sm1 Sm 0.0000 0.0000 0.0000
Y1 Y 0.0000 0.0000 0.5000
```

Largest 6 diffraction maxima, most intense first, 2θ = 10–80°:
d [Å]  Position (°2θ)  I/Imax  index
2.992  29.87  1000  2 2 0
2.595  34.57  339  2 0 4
1.831  49.80  301  2 4 4
2.583  34.73  167  0 4 0
1.565  59.00  145  4 2 4
1.563  59.12  144  2 2 8